The following is a simulated X-ray powder pattern of Cs2BaBeAs2. It was derived from a DFT-relaxed cell (GGA-PBE, Alexandria), using CuKα.
Lines closer than 0.1° are merged.

Structural model:
```
Cs2BaBeAs2
1.0
-3.7658 8.0923 3.5626
3.7658 -8.0923 3.5626
3.7658 8.0923 -3.5626
Cs Ba Be As
4 2 2 4
direct
0.1772 0.2059 0.3830
0.3228 0.7059 0.0287
0.6772 0.2941 0.9713
0.8228 0.7941 0.6170
0.2500 0.7500 0.5000
0.7500 0.2500 0.5000
0.2500 0.2500 0.0000
0.7500 0.7500 0.0000
0.0689 0.8243 0.8933
0.4311 0.3243 0.7554
0.5689 0.6757 0.2446
0.9311 0.1757 0.1067
```

Largest 10 diffraction maxima, by angle, 2θ from 5° to 70°:
Position (°2θ), I (rel.)
20.25, 23.7
24.99, 17.9
26.10, 19.0
27.35, 17.9
27.99, 100.0
28.25, 33.0
34.66, 40.1
36.21, 21.4
45.91, 25.3
51.28, 21.1